Entry 1:
# U4N7
Computed X-ray powder pattern, Cu Kα (weighted mean of Kα1 and Kα2). Input: a cell relaxed with GGA-PBE.
No peak broadening, texture or thermal motion is included.

Principal peaks in the range 2θ = 10–90°, by intensity:
two_theta  I/Imax
29.1  1000
48.5  414
57.5  408
33.7  406
78.4  153
80.9  124
60.3  100
70.9  59
58.9  28
43.4  26

Cell and atoms:
```
U4N7
1.0
-5.3161 5.3161 5.3099
5.3161 -5.3161 5.3099
5.3161 5.3161 -5.3099
U N
16 28
Direct
0.0000 0.0000 0.0000
0.0116 0.2385 0.7444
0.2278 0.7278 0.9751
0.2385 0.4941 0.2269
0.2527 0.2278 0.5000
0.2672 0.0116 0.7731
0.4746 0.9746 0.5000
0.4941 0.2672 0.2556
0.5000 0.5000 0.0000
0.5116 0.7672 0.7731
0.7278 0.7527 0.5000
0.7385 0.5116 0.7444
0.7527 0.2527 0.0249
0.7672 0.9941 0.2556
0.9746 0.4746 0.5000
0.9941 0.7385 0.2269
0.0002 0.5002 0.2745
0.0035 0.9772 0.7300
0.0112 0.9893 0.2477
0.0226 0.2524 0.5000
0.2258 0.7258 0.7255
0.2277 0.9572 0.5000
0.2417 0.4893 0.9781
0.2471 0.2735 0.2700
0.2524 0.7524 0.2298
0.2635 0.2417 0.7523
0.2735 0.0035 0.0263
0.4572 0.7277 0.5000
0.4772 0.5035 0.7300
0.4893 0.5112 0.2477
0.5002 0.2258 0.5000
0.5035 0.7735 0.0263
0.5112 0.2635 0.0219
0.5226 0.0226 0.7702
0.7258 0.0002 0.5000
0.7277 0.2277 0.2706
0.7417 0.7635 0.7523
0.7471 0.4772 0.9737
0.7524 0.5226 0.5000
0.7635 0.0112 0.0219
0.7735 0.7471 0.2700
0.9572 0.4572 0.7294
0.9772 0.2471 0.9737
0.9893 0.7417 0.9781
```

Entry 2:
# Y4C4I3Br
Computed X-ray powder pattern, Cu Kα (weighted mean of Kα1 and Kα2). Input: a cell relaxed with GGA-PBE.
No peak broadening, texture or thermal motion is included.

Principal peaks in the range 2θ = 10–90°, by intensity:
two_theta  I/Imax
31.6  1000
29.0  656
25.9  397
44.1  375
30.6  367
42.8  361
55.7  201
17.0  200
46.4  190
31.1  183

Cell and atoms:
```
Y4C4I3Br
1.0
3.6255 -1.9567 0.0000
3.6255 1.9567 0.0000
-1.4736 0.0000 20.8940
Y C I Br
4 4 3 1
Direct
0.0000 0.0000 0.0000
0.9995 0.9995 0.4982
0.7085 0.7085 0.3643
0.7108 0.7108 0.8671
0.2776 0.2776 0.4468
0.2782 0.2782 0.9488
0.4307 0.4307 0.4155
0.4324 0.4324 0.9181
0.0290 0.0290 0.7665
0.6813 0.6813 0.5991
0.6817 0.6817 0.1009
0.0338 0.0338 0.2746
```

Entry 3:
# BaU2P2O19
Computed X-ray powder pattern, Cu Kα (weighted mean of Kα1 and Kα2). Input: a cell relaxed with GGA-PBE.
No peak broadening, texture or thermal motion is included.

Principal peaks in the range 2θ = 10–90°, by intensity:
two_theta  I/Imax
25.6  1000
16.8  847
11.1  803
27.7  756
25.3  592
20.9  367
17.7  313
30.3  312
21.1  280
25.9  279

Cell and atoms:
```
BaU2P2O19
1.0
7.0463 0.0000 0.0000
0.0000 16.0039 0.0000
-0.1087 0.0000 7.0525
Ba U P O
2 4 4 38
Direct
0.2060 0.0000 0.4443
0.7940 0.5000 0.5557
0.0379 0.8573 0.0241
0.4709 0.2512 0.4617
0.5291 0.7512 0.5383
0.9621 0.3573 0.9759
0.0450 0.8010 0.5402
0.4593 0.3058 0.9585
0.5407 0.8058 0.0415
0.9550 0.3010 0.4598
0.0245 0.7457 0.9897
0.0402 0.6014 0.2607
0.0567 0.9708 0.0757
0.0629 0.8715 0.6940
0.0666 0.8478 0.3476
0.1491 0.2578 0.4522
0.1841 0.5786 0.7742
0.1999 0.6011 0.1925
0.2071 0.7359 0.5609
0.2164 0.4936 0.5319
0.2815 0.3638 0.9493
0.2922 0.5308 0.6792
0.3593 0.8611 0.0426
0.3782 0.0823 0.9688
0.3869 0.0348 0.8320
0.4366 0.1357 0.4556
0.4550 0.2535 0.1434
0.4596 0.2472 0.7827
0.4843 0.8647 0.5242
0.5157 0.3647 0.4758
0.5404 0.7472 0.2173
0.5450 0.7535 0.8566
0.5634 0.6357 0.5444
0.6131 0.5348 0.1680
0.6218 0.5823 0.0312
0.6407 0.3611 0.9574
0.7078 0.0308 0.3208
0.7185 0.8638 0.0507
0.7836 0.9936 0.4681
0.7929 0.2359 0.4391
0.8001 0.1011 0.8075
0.8159 0.0786 0.2258
0.8509 0.7578 0.5478
0.9334 0.3478 0.6524
0.9371 0.3715 0.3060
0.9433 0.4708 0.9243
0.9598 0.1014 0.7393
0.9755 0.2457 0.0103
```